This entry pairs a crystal structure of Nb2CoP6O21 with its theoretical powder diffraction line list. Radiation: Cu Kα (λ = 1.5418 Å). Structure: a DFT-relaxed cell (GGA+U, Alexandria).

Atomic structure:
abc: 6.6450 8.1010 17.0303
angles: 90.00 112.68 90.00
Sites, in units of the cell vectors:
Nb: 0.2012 0.0199 0.1667
Nb: 0.2012 0.4801 0.6667
Nb: 0.7988 0.5199 0.3333
Nb: 0.7988 0.9801 0.8333
Co: 0.5000 0.0000 0.5000
Co: 0.5000 0.5000 0.0000
P: 0.0490 0.6078 0.8334
P: 0.0490 0.8922 0.3334
P: 0.2971 0.1151 0.9849
P: 0.2971 0.3849 0.4849
P: 0.3212 0.6029 0.1605
P: 0.3212 0.8971 0.6605
P: 0.6788 0.1029 0.3395
P: 0.6788 0.3971 0.8395
P: 0.7029 0.6151 0.5151
P: 0.7029 0.8849 0.0151
P: 0.9510 0.1078 0.6666
P: 0.9510 0.3922 0.1666
O: 0.0980 0.5514 0.1697
O: 0.0980 0.9486 0.6697
O: 0.1006 0.0239 0.9180
O: 0.1006 0.4761 0.4180
O: 0.1090 0.2424 0.1906
O: 0.1090 0.2576 0.6906
O: 0.1192 0.5746 0.7580
O: 0.1192 0.9254 0.2580
O: 0.2325 0.6292 0.9169
O: 0.2325 0.8708 0.4169
O: 0.2712 0.1079 0.0718
O: 0.2712 0.3921 0.5718
O: 0.2956 0.7072 0.6486
O: 0.2956 0.7928 0.1486
O: 0.3309 0.2182 0.4561
O: 0.3309 0.2818 0.9561
O: 0.3571 0.5115 0.0918
O: 0.3571 0.9885 0.5918
O: 0.5000 0.0000 0.0000
O: 0.5001 0.0706 0.2491
O: 0.5001 0.4294 0.7491
O: 0.5000 0.5000 0.5000
O: 0.4999 0.5706 0.2509
O: 0.4999 0.9294 0.7509
O: 0.6429 0.0115 0.4082
O: 0.6429 0.4885 0.9082
O: 0.6691 0.7182 0.0439
O: 0.6691 0.7818 0.5439
O: 0.7044 0.2072 0.8514
O: 0.7044 0.2928 0.3514
O: 0.7288 0.6079 0.4282
O: 0.7288 0.8921 0.9282
O: 0.7675 0.1292 0.5831
O: 0.7675 0.3708 0.0831
O: 0.8808 0.0746 0.7420
O: 0.8808 0.4254 0.2420
O: 0.8910 0.7424 0.3094
O: 0.8910 0.7576 0.8094
O: 0.8994 0.5239 0.5820
O: 0.8994 0.9761 0.0820
O: 0.9020 0.0514 0.3303
O: 0.9020 0.4486 0.8303

Largest 10 diffraction maxima, in order of rising 2θ, 10 to 90 degrees two-theta:
(1 1 -1), 2θ 17.3, I 76
(1 0 2), 2θ 21.6, I 86
(1 0 -4), 2θ 21.7, I 100
(0 2 0), 2θ 21.9, I 61
(1 1 2), 2θ 24.3, I 41
(1 2 -1), 2θ 25.8, I 49
(1 2 2), 2θ 31.0, I 45
(2 1 1), 2θ 33.7, I 31
(2 1 -5), 2θ 33.9, I 27
(1 4 2), 2θ 50.2, I 17